[1]
Diffraction record for KBa2PbO4. The powder diffraction line list is theoretical, not measured: it uses a GGA-PBE-relaxed structure and Cu Kα.

Principal peaks in the range 2θ from 5° to 70°, by intensity:
2θ 32.67, 2.741 Å, intensity 100
2θ 28.41, 3.142 Å, intensity 84
2θ 28.54, 3.127 Å, intensity 83
2θ 47.60, 1.910 Å, intensity 66
2θ 33.64, 2.664 Å, intensity 45
2θ 14.12, 6.273 Å, intensity 31
2θ 55.88, 1.645 Å, intensity 27
2θ 55.64, 1.652 Å, intensity 27
2θ 57.04, 1.615 Å, intensity 26
2θ 16.64, 5.328 Å, intensity 20
2θ 46.69, 1.945 Å, intensity 18
2θ 47.05, 1.931 Å, intensity 17

Atomic structure:
```
16
Lattice="-3.8625 3.8907 5.3279 3.8625 -3.8907 5.3279 3.8625 3.8907 -5.3279" Properties=species:S:1:pos:R:3 pbc="T T T"
K -1.9313 1.9454 2.6640
K 1.9313 1.9454 2.6640
Ba 0.0000 0.0000 0.0000
Ba 1.9313 1.9454 -2.6640
Ba 1.9313 -1.9454 2.6640
Ba 0.0000 3.8907 0.0000
Pb 3.8625 0.0000 0.0000
Pb 0.0000 0.0000 5.3279
O 3.8625 -0.0805 2.4149
O 1.9463 1.9454 -0.0152
O 5.7787 1.9454 -0.0152
O 3.8625 3.8102 -2.4149
O 0.0000 0.0805 7.7429
O -1.9162 1.9454 5.3431
O 1.9162 1.9454 5.3431
O 0.0000 3.9713 2.9130
```

***

[2]
Diffraction record for PmRe5. The powder diffraction line list is theoretical, not measured: it uses a GGA-PBE-relaxed structure and Cu Kα.

Principal peaks in the range 2θ from 5° to 70°, by intensity:
2θ 37.83, 2.378 Å, intensity 100
2θ 42.61, 2.122 Å, intensity 20
2θ 42.78, 2.114 Å, intensity 20
2θ 61.97, 1.497 Å, intensity 13
2θ 46.41, 1.956 Å, intensity 10
2θ 63.59, 1.463 Å, intensity 8
2θ 15.09, 5.869 Å, intensity 8
2θ 64.82, 1.438 Å, intensity 7
2θ 64.95, 1.436 Å, intensity 7
2θ 49.32, 1.848 Å, intensity 6
2θ 30.46, 2.935 Å, intensity 5
2θ 53.28, 1.719 Å, intensity 2

Atomic structure:
```
6
Lattice="2.1137 -5.8693 0.0000 2.1137 5.8693 0.0000 0.0000 0.0000 4.2432" Properties=species:S:1:pos:R:3 pbc="T T T"
Pm 0.0000 0.0000 0.0000
Re 2.1137 3.6979 2.1216
Re 2.1137 2.2302 0.0000
Re 2.1137 0.0000 2.1216
Re 2.1137 -2.2302 0.0000
Re 2.1137 -3.6979 2.1216
```